# 1
Dy2SO: simulated X-ray powder pattern (Cu Ka), based on DFT lattice parameters and positions (PBE).

Cell and atoms:
```
data_Dy2SO
_space_group_name_H-M_alt 'P 1'
_space_group_IT_number 1
_cell_length_a 3.901
_cell_length_b 3.901
_cell_length_c 10.876
_cell_angle_alpha 90.00
_cell_angle_beta 90.00
_cell_angle_gamma 90.00
loop_
_space_group_symop_operation_xyz
'x,y,z'
loop_
_atom_site_label
_atom_site_fract_x
_atom_site_fract_y
_atom_site_fract_z
_atom_site_occupancy
Dy1 0.250 0.250 0.100 1
Dy2 0.250 0.250 0.612 1
Dy3 0.750 0.750 0.388 1
Dy4 0.750 0.750 0.900 1
S1 0.250 0.250 0.363 1
S2 0.750 0.750 0.637 1
O1 0.250 0.750 0.000 1
O2 0.750 0.250 0.000 1
```

The 8 most intense peaks (10° ≤ 2θ ≤ 80°), by angle:
2θ (°), Rel. int.
28.1, 100
32.5, 51
32.9, 19
40.4, 11
46.6, 22
46.9, 35
55.3, 32
58.2, 15

=====

# 2
DyYSO2: simulated X-ray powder pattern (Cu Ka), based on DFT lattice parameters and positions (PBE).

Cell and atoms:
```
data_DyYSO2
_space_group_name_H-M_alt 'P 1'
_space_group_IT_number 1
_cell_length_a 6.553
_cell_length_b 6.553
_cell_length_c 6.553
_cell_angle_alpha 146.42
_cell_angle_beta 146.42
_cell_angle_gamma 48.22
loop_
_space_group_symop_operation_xyz
'x,y,z'
loop_
_atom_site_label
_atom_site_fract_x
_atom_site_fract_y
_atom_site_fract_z
_atom_site_occupancy
Dy1 0.000 0.000 0.000 1
Y1 0.694 0.694 0.000 1
S1 0.346 0.346 0.000 1
O1 0.096 0.596 0.500 1
O2 0.596 0.096 0.500 1
```

The 8 most intense peaks (10° ≤ 2θ ≤ 80°), by angle:
2θ (°), Rel. int.
14.8, 26
24.7, 40
32.6, 100
33.5, 38
45.5, 26
48.1, 21
57.6, 25
59.3, 44

=====

# 3
Dy3SbO7: simulated X-ray powder pattern (Cu Ka), based on DFT lattice parameters and positions (PBE).

Cell and atoms:
```
data_Dy3SbO7
_space_group_name_H-M_alt 'P 1'
_space_group_IT_number 1
_cell_length_a 6.477
_cell_length_b 6.477
_cell_length_c 7.523
_cell_angle_alpha 90.00
_cell_angle_beta 90.00
_cell_angle_gamma 109.42
loop_
_space_group_symop_operation_xyz
'x,y,z'
loop_
_atom_site_label
_atom_site_fract_x
_atom_site_fract_y
_atom_site_fract_z
_atom_site_occupancy
Dy1 0.004 0.004 0.000 1
Dy2 0.032 0.500 0.251 1
Dy3 0.500 0.032 0.749 1
Dy4 0.500 0.968 0.249 1
Dy5 0.968 0.500 0.751 1
Dy6 0.996 0.996 0.500 1
Sb1 0.500 0.500 0.000 1
Sb2 0.500 0.500 0.500 1
O1 0.130 0.870 0.750 1
O2 0.137 0.863 0.250 1
O3 0.177 0.426 0.971 1
O4 0.179 0.429 0.531 1
O5 0.426 0.177 0.029 1
O6 0.429 0.179 0.469 1
O7 0.430 0.570 0.250 1
O8 0.570 0.430 0.750 1
O9 0.571 0.821 0.969 1
O10 0.574 0.823 0.529 1
O11 0.821 0.571 0.031 1
O12 0.823 0.574 0.471 1
O13 0.863 0.137 0.750 1
O14 0.870 0.130 0.250 1
```

The 8 most intense peaks (10° ≤ 2θ ≤ 80°), by angle:
2θ (°), Rel. int.
29.1, 98
29.2, 100
33.8, 47
33.9, 21
48.4, 17
48.6, 72
57.6, 30
57.7, 39

=====

# 4
DyScSbO2: simulated X-ray powder pattern (Cu Ka), based on DFT lattice parameters and positions (PBE).

Cell and atoms:
```
data_DyScSbO2
_space_group_name_H-M_alt 'P 1'
_space_group_IT_number 1
_cell_length_a 7.028
_cell_length_b 7.028
_cell_length_c 7.028
_cell_angle_alpha 149.03
_cell_angle_beta 149.03
_cell_angle_gamma 44.36
loop_
_space_group_symop_operation_xyz
'x,y,z'
loop_
_atom_site_label
_atom_site_fract_x
_atom_site_fract_y
_atom_site_fract_z
_atom_site_occupancy
Dy1 0.000 0.000 0.000 1
Sc1 0.664 0.664 0.000 1
Sb1 0.331 0.331 0.000 1
O1 0.092 0.592 0.500 1
O2 0.592 0.092 0.500 1
```

The 8 most intense peaks (10° ≤ 2θ ≤ 80°), by angle:
2θ (°), Rel. int.
13.6, 15
24.7, 18
31.5, 100
33.8, 33
48.5, 18
54.6, 24
59.0, 32
65.8, 10

=====

# 5
DyTl3Sb2O9: simulated X-ray powder pattern (Cu Ka), based on DFT lattice parameters and positions (PBE).

Cell and atoms:
```
data_DyTl3Sb2O9
_space_group_name_H-M_alt 'P 1'
_space_group_IT_number 1
_cell_length_a 5.865
_cell_length_b 5.865
_cell_length_c 7.276
_cell_angle_alpha 90.00
_cell_angle_beta 90.00
_cell_angle_gamma 120.00
loop_
_space_group_symop_operation_xyz
'x,y,z'
loop_
_atom_site_label
_atom_site_fract_x
_atom_site_fract_y
_atom_site_fract_z
_atom_site_occupancy
Dy1 0.000 0.000 0.000 1
Tl1 0.000 0.000 0.500 1
Tl2 0.333 0.667 0.161 1
Tl3 0.667 0.333 0.839 1
Sb1 0.333 0.667 0.660 1
Sb2 0.667 0.333 0.340 1
O1 0.000 0.500 0.500 1
O2 0.172 0.344 0.810 1
O3 0.172 0.828 0.810 1
O4 0.344 0.172 0.190 1
O5 0.500 0.000 0.500 1
O6 0.500 0.500 0.500 1
O7 0.656 0.828 0.810 1
O8 0.828 0.172 0.190 1
O9 0.828 0.656 0.190 1
```

The 8 most intense peaks (10° ≤ 2θ ≤ 80°), by angle:
2θ (°), Rel. int.
30.2, 100
30.5, 98
43.5, 53
53.5, 21
54.0, 40
54.2, 20
71.4, 18
71.9, 18

=====

# 6
DyScSe2O: simulated X-ray powder pattern (Cu Ka), based on DFT lattice parameters and positions (PBE).

Cell and atoms:
```
data_DyScSe2O
_space_group_name_H-M_alt 'P 1'
_space_group_IT_number 1
_cell_length_a 3.873
_cell_length_b 3.873
_cell_length_c 13.947
_cell_angle_alpha 90.00
_cell_angle_beta 90.00
_cell_angle_gamma 90.00
loop_
_space_group_symop_operation_xyz
'x,y,z'
loop_
_atom_site_label
_atom_site_fract_x
_atom_site_fract_y
_atom_site_fract_z
_atom_site_occupancy
Dy1 0.250 0.250 0.081 1
Dy2 0.750 0.750 0.919 1
Sc1 0.250 0.250 0.620 1
Sc2 0.750 0.750 0.380 1
Se1 0.250 0.250 0.411 1
Se2 0.250 0.250 0.798 1
Se3 0.750 0.750 0.202 1
Se4 0.750 0.750 0.589 1
O1 0.250 0.750 0.000 1
O2 0.750 0.250 0.000 1
```

The 8 most intense peaks (10° ≤ 2θ ≤ 80°), by angle:
2θ (°), Rel. int.
12.7, 16
30.0, 100
32.7, 75
34.6, 27
41.9, 15
46.9, 32
51.6, 25
56.7, 34